Calculated powder diffractogram
Compound: CsFe2As2
Radiation: a wavelength of 1.5418 Å
Structure: a DFT-relaxed cell (GGA-PBE, the Materials Project)

Main lines, low angle first (2θ = 10–90°):
11.46°, rel. 11; 23.04°, rel. 14; 29.22°, rel. 100; 33.36°, rel. 12; 35.38°, rel. 24; 47.90°, rel. 25; 49.02°, rel. 46; 57.10°, rel. 29; 59.08°, rel. 13; 70.07°, rel. 8; 77.66°, rel. 6; 79.38°, rel. 11

Structure:
Lattice parameters (Å, degrees): 8.174 8.174 8.174 153.13 153.13 38.36
Sites, in units of the cell vectors:
Cs: 0.000 0.000 0.000
Fe: 0.250 0.750 0.500
Fe: 0.750 0.250 0.500
As: 0.339 0.339 0.000
As: 0.661 0.661 0.000



Calculated powder diffractogram
Compound: Cs3GaAs2
Radiation: a wavelength of 1.5418 Å
Structure: a DFT-relaxed cell (GGA-PBE, the Materials Project)

Main lines, low angle first (2θ = 10–90°):
24.01°, rel. 28; 24.87°, rel. 31; 25.09°, rel. 100; 25.86°, rel. 37; 26.02°, rel. 70; 26.95°, rel. 25; 27.22°, rel. 32; 27.27°, rel. 31; 27.40°, rel. 23; 28.93°, rel. 73; 31.12°, rel. 33; 31.71°, rel. 30

Structure:
Lattice parameters (Å, degrees): 11.583 9.026 19.786 90.00 99.72 90.00
Sites, in units of the cell vectors:
Cs: 0.078 0.048 0.242
Cs: 0.078 0.452 0.742
Cs: 0.154 0.528 0.969
Cs: 0.154 0.972 0.469
Cs: 0.259 0.092 0.924
Cs: 0.259 0.408 0.424
Cs: 0.293 0.121 0.660
Cs: 0.293 0.379 0.160
Cs: 0.360 0.746 0.292
Cs: 0.360 0.754 0.792
Cs: 0.375 0.579 0.611
Cs: 0.375 0.921 0.111
Cs: 0.625 0.079 0.889
Cs: 0.625 0.421 0.389
Cs: 0.640 0.246 0.208
Cs: 0.640 0.254 0.708
Cs: 0.707 0.621 0.840
Cs: 0.707 0.879 0.340
Cs: 0.741 0.592 0.576
Cs: 0.741 0.908 0.076
Cs: 0.846 0.028 0.531
Cs: 0.846 0.472 0.031
Cs: 0.922 0.548 0.258
Cs: 0.922 0.952 0.758
Ga: 0.046 0.619 0.556
Ga: 0.046 0.881 0.056
Ga: 0.461 0.056 0.424
Ga: 0.461 0.444 0.924
Ga: 0.539 0.556 0.076
Ga: 0.539 0.944 0.576
Ga: 0.954 0.119 0.944
Ga: 0.954 0.381 0.444
As: 0.046 0.156 0.065
As: 0.046 0.344 0.565
As: 0.105 0.700 0.142
As: 0.105 0.800 0.642
As: 0.399 0.143 0.309
As: 0.399 0.357 0.809
As: 0.492 0.704 0.968
As: 0.492 0.796 0.468
As: 0.508 0.204 0.532
As: 0.508 0.296 0.032
As: 0.601 0.643 0.191
As: 0.601 0.857 0.691
As: 0.895 0.200 0.358
As: 0.895 0.300 0.858
As: 0.954 0.656 0.435
As: 0.954 0.844 0.935



Calculated powder diffractogram
Compound: CsGaAs3H5O12
Radiation: a wavelength of 1.5418 Å
Structure: a DFT-relaxed cell (GGA-PBE, the Materials Project)

Main lines, low angle first (2θ = 10–90°):
13.16°, rel. 56; 22.04°, rel. 35; 23.14°, rel. 28; 23.75°, rel. 28; 25.39°, rel. 25; 26.13°, rel. 100; 26.81°, rel. 31; 27.80°, rel. 57; 28.68°, rel. 61; 34.30°, rel. 24; 43.25°, rel. 24; 44.94°, rel. 30

Structure:
Lattice parameters (Å, degrees): 7.871 7.871 15.345 90.99 90.99 144.28
Sites, in units of the cell vectors:
Cs: 0.003 0.997 0.500
Cs: 0.997 0.003 0.000
Ga: 0.151 0.861 0.747
Ga: 0.861 0.151 0.247
As: 0.268 0.699 0.119
As: 0.316 0.753 0.372
As: 0.501 0.507 0.748
As: 0.507 0.501 0.248
As: 0.699 0.268 0.619
As: 0.753 0.316 0.872
H: 0.040 0.516 0.493
H: 0.166 0.529 0.934
H: 0.175 0.443 0.689
H: 0.443 0.175 0.189
H: 0.489 0.849 0.569
H: 0.516 0.040 0.993
H: 0.529 0.166 0.434
H: 0.561 0.828 0.808
H: 0.828 0.561 0.308
H: 0.849 0.489 0.069
O: 0.010 0.656 0.111
O: 0.011 0.497 0.303
O: 0.012 0.364 0.888
O: 0.090 0.371 0.142
O: 0.207 0.315 0.303
O: 0.230 0.604 0.474
O: 0.277 0.424 0.667
O: 0.315 0.207 0.803
O: 0.364 0.012 0.388
O: 0.371 0.090 0.642
O: 0.409 0.787 0.018
O: 0.424 0.277 0.167
O: 0.497 0.011 0.803
O: 0.513 0.992 0.194
O: 0.584 0.728 0.830
O: 0.604 0.230 0.974
O: 0.641 0.922 0.353
O: 0.656 0.010 0.611
O: 0.699 0.803 0.193
O: 0.728 0.584 0.330
O: 0.787 0.409 0.518
O: 0.803 0.699 0.693
O: 0.922 0.641 0.853
O: 0.992 0.513 0.694



Calculated powder diffractogram
Compound: Cs2AsH5O6
Radiation: a wavelength of 1.5418 Å
Structure: a DFT-relaxed cell (GGA-PBE, the Materials Project)

Main lines, low angle first (2θ = 10–90°):
22.51°, rel. 87; 24.15°, rel. 58; 24.74°, rel. 48; 25.71°, rel. 66; 27.54°, rel. 29; 27.91°, rel. 100; 33.38°, rel. 30; 37.92°, rel. 45; 38.71°, rel. 25; 42.24°, rel. 24; 45.07°, rel. 21; 49.48°, rel. 24

Structure:
Lattice parameters (Å, degrees): 8.049 14.422 8.561 90.00 120.59 90.00
Sites, in units of the cell vectors:
Cs: 0.241 0.233 0.245
Cs: 0.241 0.267 0.745
Cs: 0.250 0.583 0.754
Cs: 0.250 0.917 0.254
Cs: 0.750 0.083 0.746
Cs: 0.750 0.417 0.246
Cs: 0.759 0.733 0.255
Cs: 0.759 0.767 0.755
As: 0.245 0.641 0.236
As: 0.245 0.859 0.736
As: 0.755 0.141 0.264
As: 0.755 0.359 0.764
H: 0.151 0.083 0.451
H: 0.151 0.417 0.951
H: 0.184 0.030 0.878
H: 0.184 0.470 0.378
H: 0.276 0.734 0.483
H: 0.276 0.766 0.983
H: 0.321 0.033 0.625
H: 0.321 0.467 0.125
H: 0.352 0.082 0.052
H: 0.352 0.418 0.552
H: 0.648 0.582 0.448
H: 0.648 0.918 0.948
H: 0.679 0.533 0.875
H: 0.679 0.967 0.375
H: 0.724 0.234 0.017
H: 0.724 0.266 0.517
H: 0.816 0.530 0.622
H: 0.816 0.970 0.122
H: 0.849 0.583 0.049
H: 0.849 0.917 0.549
O: 0.071 0.577 0.245
O: 0.071 0.923 0.745
O: 0.152 0.720 0.062
O: 0.152 0.780 0.562
O: 0.213 0.087 0.953
O: 0.213 0.413 0.453
O: 0.290 0.090 0.550
O: 0.290 0.410 0.050
O: 0.366 0.708 0.442
O: 0.366 0.792 0.942
O: 0.426 0.576 0.242
O: 0.426 0.924 0.742
O: 0.574 0.076 0.258
O: 0.574 0.424 0.758
O: 0.634 0.208 0.058
O: 0.634 0.292 0.558
O: 0.710 0.590 0.950
O: 0.710 0.910 0.450
O: 0.787 0.587 0.547
O: 0.787 0.913 0.047
O: 0.848 0.220 0.438
O: 0.848 0.280 0.938
O: 0.929 0.077 0.255
O: 0.929 0.423 0.755



Calculated powder diffractogram
Compound: Cs2AsH3SeO8
Radiation: a wavelength of 1.5418 Å
Structure: a DFT-relaxed cell (GGA-PBE, the Materials Project)

Main lines, low angle first (2θ = 10–90°):
21.62°, rel. 19; 22.16°, rel. 58; 23.93°, rel. 33; 24.75°, rel. 100; 25.05°, rel. 16; 25.46°, rel. 16; 29.91°, rel. 16; 30.56°, rel. 23; 36.16°, rel. 14; 36.69°, rel. 12; 39.79°, rel. 12; 40.62°, rel. 12

Structure:
Lattice parameters (Å, degrees): 8.163 8.197 8.228 87.67 89.44 78.46
Sites, in units of the cell vectors:
Cs: 0.108 0.276 0.167
Cs: 0.382 0.232 0.668
Cs: 0.618 0.768 0.332
Cs: 0.892 0.724 0.833
As: 0.102 0.750 0.323
As: 0.898 0.250 0.677
H: 0.000 0.000 0.500
H: 0.228 0.875 0.104
H: 0.264 0.621 0.542
H: 0.500 0.500 0.000
H: 0.736 0.379 0.458
H: 0.772 0.125 0.896
Se: 0.387 0.753 0.825
Se: 0.613 0.247 0.175
O: 0.004 0.341 0.806
O: 0.016 0.140 0.528
O: 0.222 0.884 0.228
O: 0.250 0.903 0.915
O: 0.255 0.595 0.424
O: 0.286 0.620 0.740
O: 0.485 0.356 0.025
O: 0.494 0.164 0.305
O: 0.506 0.836 0.695
O: 0.515 0.644 0.975
O: 0.714 0.380 0.260
O: 0.745 0.405 0.576
O: 0.750 0.097 0.085
O: 0.778 0.116 0.772
O: 0.984 0.860 0.472
O: 0.996 0.659 0.194



Calculated powder diffractogram
Compound: Cs2HgAsI6
Radiation: a wavelength of 1.5418 Å
Structure: a DFT-relaxed cell (GGA-PBE, the Materials Project)

Main lines, low angle first (2θ = 10–90°):
14.66°, rel. 23; 20.79°, rel. 24; 25.53°, rel. 63; 29.57°, rel. 100; 33.15°, rel. 13; 36.42°, rel. 11; 42.31°, rel. 74; 50.07°, rel. 28; 52.46°, rel. 26; 61.37°, rel. 12; 69.58°, rel. 33; 77.37°, rel. 24

Structure:
Lattice parameters (Å, degrees): 8.545 8.545 8.545 60.00 60.00 60.00
Sites, in units of the cell vectors:
Cs: 0.250 0.250 0.250
Cs: 0.750 0.750 0.750
Hg: 0.000 0.000 0.000
As: 0.500 0.500 0.500
I: 0.259 0.259 0.741
I: 0.259 0.741 0.259
I: 0.259 0.741 0.741
I: 0.741 0.259 0.259
I: 0.741 0.259 0.741
I: 0.741 0.741 0.259



Calculated powder diffractogram
Compound: Cs2InAsI6
Radiation: a wavelength of 1.5418 Å
Structure: a DFT-relaxed cell (GGA-PBE, the Materials Project)

Main lines, low angle first (2θ = 10–90°):
14.46°, rel. 14; 20.51°, rel. 15; 25.19°, rel. 89; 29.17°, rel. 100; 41.72°, rel. 73; 49.36°, rel. 39; 51.71°, rel. 25; 60.47°, rel. 12; 66.56°, rel. 15; 68.53°, rel. 31; 76.16°, rel. 23; 81.71°, rel. 11

Structure:
Lattice parameters (Å, degrees): 8.660 8.660 8.660 60.00 60.00 60.00
Sites, in units of the cell vectors:
Cs: 0.250 0.250 0.250
Cs: 0.750 0.750 0.750
In: 0.000 0.000 0.000
As: 0.500 0.500 0.500
I: 0.262 0.262 0.738
I: 0.262 0.738 0.262
I: 0.262 0.738 0.738
I: 0.738 0.262 0.262
I: 0.738 0.262 0.738
I: 0.738 0.738 0.262



Calculated powder diffractogram
Compound: Cs2KAsI6
Radiation: a wavelength of 1.5418 Å
Structure: a DFT-relaxed cell (GGA-PBE, the Materials Project)

Main lines, low angle first (2θ = 10–90°):
12.20°, rel. 12; 24.54°, rel. 100; 28.41°, rel. 83; 37.18°, rel. 11; 40.61°, rel. 58; 48.02°, rel. 41; 50.30°, rel. 19; 64.66°, rel. 14; 66.56°, rel. 22; 73.89°, rel. 15; 78.78°, rel. 9; 79.22°, rel. 9

Structure:
Lattice parameters (Å, degrees): 8.886 8.886 8.886 60.00 60.00 60.00
Sites, in units of the cell vectors:
Cs: 0.250 0.250 0.250
Cs: 0.750 0.750 0.750
K: 0.000 0.000 0.000
As: 0.500 0.500 0.500
I: 0.271 0.271 0.729
I: 0.271 0.729 0.271
I: 0.271 0.729 0.729
I: 0.729 0.271 0.271
I: 0.729 0.271 0.729
I: 0.729 0.729 0.271



Calculated powder diffractogram
Compound: Cs12NbIn6As9
Radiation: a wavelength of 1.5418 Å
Structure: a DFT-relaxed cell (GGA-PBE, the Materials Project)

Main lines, low angle first (2θ = 10–90°):
26.50°, rel. 52; 26.81°, rel. 41; 27.25°, rel. 48; 28.29°, rel. 50; 28.55°, rel. 91; 28.68°, rel. 100; 28.82°, rel. 65; 28.89°, rel. 82; 29.26°, rel. 100; 29.68°, rel. 47; 29.79°, rel. 88; 29.94°, rel. 91

Structure:
Lattice parameters (Å, degrees): 9.749 9.795 25.670 86.84 87.14 63.54
Sites, in units of the cell vectors:
Cs: 0.000 0.000 0.000
Cs: 0.000 0.000 0.500
Cs: 0.060 0.447 0.307
Cs: 0.148 0.109 0.741
Cs: 0.176 0.737 0.132
Cs: 0.201 0.539 0.534
Cs: 0.243 0.195 0.935
Cs: 0.288 0.633 0.749
Cs: 0.335 0.058 0.568
Cs: 0.380 0.290 0.179
Cs: 0.463 0.735 0.984
Cs: 0.465 0.383 0.384
Cs: 0.475 0.185 0.813
Cs: 0.525 0.815 0.187
Cs: 0.535 0.617 0.616
Cs: 0.537 0.265 0.016
Cs: 0.620 0.710 0.821
Cs: 0.665 0.942 0.432
Cs: 0.712 0.367 0.251
Cs: 0.757 0.805 0.065
Cs: 0.799 0.461 0.466
Cs: 0.824 0.263 0.868
Cs: 0.852 0.891 0.259
Cs: 0.940 0.553 0.693
Nb: 0.242 0.058 0.388
Nb: 0.758 0.942 0.612
In: 0.054 0.158 0.159
In: 0.078 0.381 0.059
In: 0.129 0.772 0.376
In: 0.176 0.004 0.267
In: 0.297 0.561 0.895
In: 0.476 0.266 0.666
In: 0.524 0.734 0.334
In: 0.703 0.439 0.105
In: 0.824 0.996 0.733
In: 0.871 0.228 0.624
In: 0.922 0.619 0.941
In: 0.946 0.842 0.841
As: 0.019 0.901 0.644
As: 0.049 0.524 0.841
As: 0.158 0.586 0.004
As: 0.196 0.878 0.864
As: 0.210 0.255 0.446
As: 0.283 0.082 0.082
As: 0.299 0.681 0.277
As: 0.366 0.794 0.433
As: 0.413 0.056 0.309
As: 0.587 0.944 0.691
As: 0.634 0.206 0.567
As: 0.701 0.319 0.723
As: 0.717 0.918 0.918
As: 0.790 0.745 0.554
As: 0.804 0.122 0.136
As: 0.842 0.414 0.996
As: 0.951 0.476 0.159
As: 0.981 0.099 0.356



Which formula does entry 2 have?
Cs3GaAs2